Structure and theoretical X-ray diffraction stick pattern of SrBi12Pd6 (a DFT-relaxed cell (PBE, Alexandria); Cu Kα (λ = 1.5418 Å)).

Atomic structure:
a b c (Å): 13.6910 13.6910 9.6406
angles (deg): 90.00 90.00 120.00
Space group R-3m (No. 166, hexagonal axes)
One atom of each set of equivalent atoms:
Sr1 0.0000 0.0000 0.0000 [3 per cell]
Bi1 0.0000 0.3815 0.5000 [18 per cell]
Bi2 0.0862 0.1725 0.3374 [18 per cell]
Pd1 0.0243 0.5121 0.2503 [18 per cell]

Largest 10 diffraction maxima, sorted by position, 2θ from 10° to 90°:
2θ/deg	Rel. int.	(hkl)
28.68	100	1 3 1
30.74	44	1 1 3
34.25	33	3 2 1
34.67	21	4 1 0
35.55	35	0 4 2
36.02	46	0 3 3
40.40	20	0 2 4
42.48	44	5 0 2
55.05	20	3 5 1
55.22	19	3 1 5

Structure and theoretical X-ray diffraction stick pattern of Cs4Ba3UO8 (a DFT-relaxed cell (PBE, Alexandria); Cu Kα (λ = 1.5418 Å)).

Atomic structure:
a b c (Å): 7.8808 7.8808 20.7853
angles (deg): 90.00 90.00 120.00
Space group R-3m (No. 166, hexagonal axes)
One atom of each set of equivalent atoms:
Cs1 0.0000 0.0000 0.0000 [3 per cell]
Cs2 0.0000 0.5000 0.0000 [9 per cell]
Ba1 0.0000 0.5000 0.5000 [9 per cell]
U1 0.0000 0.0000 0.5000 [3 per cell]
O1 0.0000 0.0000 0.2302 [6 per cell]
O2 0.0717 0.5358 0.2232 [18 per cell]

Largest 10 diffraction maxima, sorted by position, 2θ from 10° to 90°:
2θ/deg	Rel. int.	(hkl)
25.72	40	0 0 6
27.51	97	2 0 2
31.36	100	0 2 4
43.79	35	2 0 8
46.07	33	2 2 0
51.48	21	0 2 10
53.51	35	2 2 6
54.50	16	0 4 2
56.79	17	4 0 4
72.69	15	2 2 12

Q: Which formula does entry 1 have?
A: SrBi12Pd6